Calculated powder diffractogram of Pr4Ge3Rh for Cu Kα X-rays, from a crystal structure in Alexandria, relaxed with PBE.
Intensities are scaled so that the largest is 1000.

```
Pr4Ge3Rh
1.0
4.1651 0.0000 0.0000
0.0000 4.4051 0.0000
0.0000 0.0000 11.1095
Pr Ge Rh
4 3 1
direct
0.0000 0.0000 0.0000
0.0000 0.5000 0.4862
0.5000 0.0000 0.7104
0.5000 0.5000 0.2172
0.0000 0.5000 0.7717
0.5000 0.0000 0.4247
0.5000 0.5000 0.9297
0.0000 0.0000 0.2760
```

Peak list (10 most intense, 10° ≤ 2θ ≤ 90°, sorted by position)
two_theta, Rel. int.
26.75, 162
30.62, 1000
31.56, 378
32.23, 257
38.41, 566
38.98, 196
40.98, 262
43.45, 221
54.69, 159
61.26, 158